The following is a computed XRD peak list of Tb2Ho6Cd. It was derived from a crystal structure in Alexandria, relaxed with PBE, using copper Kα.

a = 3.5585 Å, b = 3.5585 Å, c = 25.3703 Å
α = 90.00°, β = 90.00°, γ = 120.00°
Fractional coordinates of all 9 atoms:
Tb (0.0000, 0.0000, 0.1763)
Tb (0.0000, 0.0000, 0.8237)
Ho (0.0000, 0.0000, 0.4004)
Ho (0.0000, 0.0000, 0.5996)
Ho (0.6667, 0.3333, 0.0663)
Ho (0.6667, 0.3333, 0.2897)
Ho (0.6667, 0.3333, 0.7103)
Ho (0.6667, 0.3333, 0.9337)
Cd (0.6667, 0.3333, 0.5000)

Most intense lines, 15 to 90 degrees two-theta, in order of rising 2θ:
2θ (°)	Rel. int.	hkl
28.97	39.6	1 0 0
31.74	27.8	0 0 9
32.30	33.0	1 0 4
34.04	100.0	1 0 5
51.35	31.7	1 1 0
59.14	25.8	1 0 14


The following is a computed XRD peak list of BaIn6Sn6. It was derived from a crystal structure in Alexandria, relaxed with PBE, using copper Kα.

a = 8.1252 Å, b = 8.1252 Å, c = 8.1252 Å
α = 90.00°, β = 90.00°, γ = 90.00°
Fractional coordinates of all 13 atoms:
Ba (0.0000, 0.0000, 0.0000)
In (0.0000, 0.2543, 0.5000)
In (0.0000, 0.7457, 0.5000)
In (0.2543, 0.5000, 0.0000)
In (0.5000, 0.0000, 0.2543)
In (0.5000, 0.0000, 0.7457)
In (0.7457, 0.5000, 0.0000)
Sn (0.0000, 0.5000, 0.2443)
Sn (0.0000, 0.5000, 0.7557)
Sn (0.2443, 0.0000, 0.5000)
Sn (0.5000, 0.2443, 0.0000)
Sn (0.5000, 0.7557, 0.0000)
Sn (0.7557, 0.0000, 0.5000)

Most intense lines, 15 to 90 degrees two-theta, in order of rising 2θ:
2θ (°)	Rel. int.	hkl
15.42	59.5	1 1 0
21.88	41.6	2 0 0
26.88	100.0	2 1 1
38.38	59.5	2 2 2
41.59	62.9	3 2 1
44.61	42.0	4 0 0